EuUCo2: calculated powder XRD pattern (Cu Kα X-rays), based on a crystal structure in Alexandria, relaxed with GGA-PBE.

Peak list (10 most intense, 2θ from 5° to 70°, sorted by position)
2theta, intensity
12.54, 25.2
25.23, 28.2
27.20, 34.3
37.44, 100.0
38.85, 53.8
46.89, 22.5
56.11, 18.3
59.49, 19.5
66.60, 12.0
69.41, 33.0

Structure:
```
EuUCo2
1.0
3.2785 0.0000 0.0000
0.0000 3.2785 0.0000
0.0000 0.0000 7.0587
Eu U Co
1 1 2
direct
0.0000 0.0000 0.0000
0.0000 0.0000 0.5000
0.5000 0.5000 0.3178
0.5000 0.5000 0.6822
```